Entry 1:
This entry pairs a crystal structure of K2ZnPdC with its simulated PXRD pattern. Radiation: CuKα. Structure: the PBE geometry in Alexandria.
Neutral-atom scattering factors, no anomalous dispersion.

Top 12 peaks for 2θ = 15–90°, by intensity:
2theta	I (rel.)	hkl
28.55	100.0	2 0 0
40.80	53.6	2 2 0
20.06	21.1	1 1 0
32.02	19.5	1 1 1
59.05	17.4	4 0 0
66.86	16.0	4 2 0
59.17	12.8	2 0 2
81.41	11.1	4 0 2
50.55	8.8	3 0 1
66.97	8.6	2 2 2
52.76	8.1	3 1 1
88.45	8.0	4 2 2

Structure:
```
data_K2ZnPdC
_symmetry_space_group_name_H-M 'P 4/m m m'
_symmetry_Int_Tables_number 123
_symmetry_space_group_name_Hall '-P 4 2'
_cell_length_a 6.2591
_cell_length_b 6.2591
_cell_length_c 3.6038
_cell_angle_alpha 90.00
_cell_angle_beta 90.00
_cell_angle_gamma 90.00
loop_
_atom_site_label
_atom_site_type_symbol
_atom_site_fract_x
_atom_site_fract_y
_atom_site_fract_z
K1 K 0.0000 0.5000 0.0000
Zn1 Zn 0.0000 0.0000 0.0000
Pd1 Pd 0.5000 0.5000 0.5000
C1 C 0.0000 0.0000 0.5000
```



Entry 2:
This entry pairs a crystal structure of K3CS4 with its simulated PXRD pattern. Radiation: CuKα. Structure: the PBE geometry in Alexandria.
Neutral-atom scattering factors, no anomalous dispersion.

Top 12 peaks for 2θ = 15–90°, by intensity:
2theta	I (rel.)	hkl
31.18	100.0	0 1 3
26.09	93.4	2 2 0
33.91	88.4	2 3 1
32.34	88.0	2 3 0
31.52	78.6	3 0 1
32.98	63.9	2 2 2
16.32	52.5	1 1 1
40.14	40.9	2 2 3
27.98	39.2	1 2 2
29.05	33.8	1 3 1
37.14	33.6	3 1 2
28.16	30.8	2 0 2

Structure:
```
data_K3CS4
_symmetry_space_group_name_H-M 'P n m a'
_symmetry_Int_Tables_number 62
_symmetry_space_group_name_Hall '-P 2ac 2n'
_cell_length_a 8.9802
_cell_length_b 10.5469
_cell_length_c 8.9434
_cell_angle_alpha 90.00
_cell_angle_beta 90.00
_cell_angle_gamma 90.00
loop_
_atom_site_label
_atom_site_type_symbol
_atom_site_fract_x
_atom_site_fract_y
_atom_site_fract_z
K1 K 0.0346 0.0428 0.2058
K2 K 0.1606 0.7500 0.4180
C1 C 0.2260 0.7500 0.9868
S1 S 0.0394 0.7500 0.0731
S2 S 0.1746 0.1061 0.5455
S3 S 0.2188 0.7500 0.7818
```



Entry 3:
This entry pairs a crystal structure of K2SbC with its simulated PXRD pattern. Radiation: CuKα. Structure: the PBE geometry in Alexandria.
Neutral-atom scattering factors, no anomalous dispersion.

Top 12 peaks for 2θ = 15–90°, by intensity:
2theta	I (rel.)	hkl
25.79	100.0	2 1 1
29.41	54.4	4 0 0
33.29	48.1	3 2 1
32.97	35.0	4 2 0
47.00	23.2	3 1 2
45.00	18.0	5 2 1
42.07	18.0	4 4 0
41.72	16.6	1 1 2
50.01	16.5	6 1 1
56.42	13.8	5 1 2
68.90	12.4	5 5 2
54.67	11.8	6 3 1

Structure:
```
data_K2SbC
_symmetry_space_group_name_H-M 'I -4 2 d'
_symmetry_Int_Tables_number 122
_symmetry_space_group_name_Hall 'I -4 2bw'
_cell_length_a 12.1498
_cell_length_b 12.1498
_cell_length_c 4.4742
_cell_angle_alpha 90.00
_cell_angle_beta 90.00
_cell_angle_gamma 90.00
loop_
_atom_site_label
_atom_site_type_symbol
_atom_site_fract_x
_atom_site_fract_y
_atom_site_fract_z
K1 K 0.0240 0.2500 0.1250
Sb1 Sb 0.0000 0.0000 0.5000
C1 C 0.0000 0.0000 0.0000
```



Entry 4:
This entry pairs a crystal structure of KTa2C with its simulated PXRD pattern. Radiation: CuKα. Structure: the PBE geometry in Alexandria.
Neutral-atom scattering factors, no anomalous dispersion.

Top 12 peaks for 2θ = 15–90°, by intensity:
2theta	I (rel.)	hkl
16.40	100.0	1 1 1
31.70	99.2	3 1 1
33.15	93.8	2 2 2
55.53	41.8	4 4 0
66.22	38.9	6 2 2
50.67	35.8	5 1 1
38.47	34.9	4 0 0
42.07	28.7	3 3 1
58.31	22.4	5 3 1
78.48	22.3	7 3 1
65.37	12.5	5 3 3
72.05	12.1	7 1 1

Structure:
abc: 9.3611 9.3611 9.3611
angles: 90.00 90.00 90.00
Space group Fd-3m (No. 227, origin choice 2)
One atom of each set of equivalent atoms:
K 0.1250 0.1250 0.1250 (multiplicity 8)
Ta 0.0000 0.0000 0.5000 (multiplicity 16)
C 0.1250 0.1250 0.6250 (multiplicity 8)



Entry 5:
This entry pairs a crystal structure of LiLaCN2 with its simulated PXRD pattern. Radiation: CuKα. Structure: the PBE geometry in Alexandria.
Neutral-atom scattering factors, no anomalous dispersion.

Top 12 peaks for 2θ = 15–90°, by intensity:
2theta	I (rel.)	hkl
15.66	100.0	1 0 0
30.78	97.9	1 0 -2
28.38	75.8	0 1 1
34.30	72.1	1 1 1
40.13	44.7	2 1 -1
51.78	34.3	1 1 -3
31.62	31.7	2 0 0
37.58	22.1	1 0 2
30.37	20.7	0 0 2
38.67	18.8	2 0 -2
45.72	17.5	2 1 1
52.74	17.4	0 1 3

Structure:
```
data_LiLaCN2
_symmetry_space_group_name_H-M 'P 1 2/c 1'
_symmetry_Int_Tables_number 13
_symmetry_space_group_name_Hall '-P 2yc'
_cell_length_a 5.8185
_cell_length_b 3.7205
_cell_length_c 6.0528
_cell_angle_alpha 90.00
_cell_angle_beta 103.45
_cell_angle_gamma 90.00
loop_
_atom_site_label
_atom_site_type_symbol
_atom_site_fract_x
_atom_site_fract_y
_atom_site_fract_z
Li1 Li 0.0000 0.0217 0.2500
La1 La 0.5000 0.2294 0.7500
C1 C 0.0000 0.5000 0.0000
N1 N 0.1756 0.2905 0.0318
```



Entry 6:
This entry pairs a crystal structure of LaMg6C with its simulated PXRD pattern. Radiation: CuKα. Structure: the PBE geometry in Alexandria.
Neutral-atom scattering factors, no anomalous dispersion.

Top 12 peaks for 2θ = 15–90°, by intensity:
2theta	I (rel.)	hkl
15.13	100.0	0 1 1
30.52	87.3	0 2 2
31.00	58.1	1 1 1
34.03	57.5	1 1 3
20.45	51.9	0 1 3
39.46	51.9	1 1 5
28.34	48.5	0 1 5
28.65	41.3	1 0 2
41.13	38.0	1 2 2
33.38	33.7	1 0 4
44.72	31.7	1 2 4
37.35	30.7	0 1 7

Structure:
```
data_LaMg6C
_symmetry_space_group_name_H-M 'A m m 2'
_symmetry_Int_Tables_number 38
_symmetry_space_group_name_Hall 'A 2 -2'
_cell_length_a 3.3146
_cell_length_b 6.1827
_cell_length_c 18.2964
_cell_angle_alpha 90.00
_cell_angle_beta 90.00
_cell_angle_gamma 90.00
loop_
_atom_site_label
_atom_site_type_symbol
_atom_site_fract_x
_atom_site_fract_y
_atom_site_fract_z
La1 La 0.0000 0.0000 0.0000
Mg1 Mg 0.0000 0.0000 0.5863
Mg2 Mg 0.0000 0.2206 0.8422
Mg3 Mg 0.5000 0.0000 0.4487
Mg4 Mg 0.5000 0.2404 0.1944
C1 C 0.5000 0.0000 0.9002
```